This entry pairs a crystal structure of La8IrPtRh2 with its calculated powder XRD pattern. Radiation: Cu Kα, 1.54184 Å. Structure: a PBE-relaxed structure.
Lines closer than 0.1° are merged.

The 10 most intense peaks (2θ from 10° to 80°), sorted by position:
- d = 4.841 Å, 18.3°, rel. 67
- d = 3.634 Å, 24.5°, rel. 17
- d = 3.211 Å, 27.8°, rel. 100
- d = 3.070 Å, 29.1°, rel. 50
- d = 2.496 Å, 36.0°, rel. 24
- d = 2.489 Å, 36.1°, rel. 76
- d = 2.147 Å, 42.1°, rel. 26
- d = 2.021 Å, 44.9°, rel. 43
- d = 1.929 Å, 47.1°, rel. 21
- d = 1.759 Å, 52.0°, rel. 21

Atomic structure:
a b c (Å): 6.821 8.587 6.870
angles (deg): 90.00 90.22 90.00
Fractional positions:
La1 0.228 0.000 0.342
La2 0.232 0.500 0.337
La3 0.265 0.256 0.838
La4 0.265 0.744 0.838
La5 0.735 0.256 0.162
La6 0.735 0.744 0.162
La7 0.768 0.500 0.663
La8 0.772 0.000 0.658
Ir1 0.500 0.500 0.000
Pt1 0.500 0.000 0.000
Rh1 0.000 0.250 0.500
Rh2 0.000 0.750 0.500

This entry pairs a crystal structure of Tb3Zn2Pd7 with its calculated powder XRD pattern. Radiation: Cu Kα, 1.54184 Å. Structure: a PBE-relaxed structure.
Lines closer than 0.1° are merged.

The 10 most intense peaks (2θ from 10° to 80°), sorted by position:
- d = 2.995 Å, 29.8°, rel. 14
- d = 2.764 Å, 32.4°, rel. 14
- d = 2.556 Å, 35.1°, rel. 100
- d = 2.317 Å, 38.9°, rel. 31
- d = 2.112 Å, 42.8°, rel. 17
- d = 2.099 Å, 43.1°, rel. 30
- d = 2.013 Å, 45.0°, rel. 27
- d = 1.453 Å, 64.1°, rel. 18
- d = 1.389 Å, 67.4°, rel. 14
- d = 1.284 Å, 73.8°, rel. 11

Atomic structure:
a b c (Å): 13.607 13.607 4.026
angles (deg): 90.00 90.00 162.25
Fractional positions:
Tb1 0.000 0.000 0.000
Tb2 0.178 0.822 0.000
Tb3 0.822 0.178 0.000
Zn1 0.369 0.631 0.500
Zn2 0.631 0.369 0.500
Pd1 0.079 0.921 0.500
Pd2 0.278 0.722 0.500
Pd3 0.423 0.577 0.000
Pd4 0.500 0.500 0.500
Pd5 0.577 0.423 0.000
Pd6 0.722 0.278 0.500
Pd7 0.921 0.079 0.500

This entry pairs a crystal structure of NbCr3Ag2S8 with its calculated powder XRD pattern. Radiation: Cu Kα, 1.54184 Å. Structure: a PBE-relaxed structure.
Lines closer than 0.1° are merged.

The 10 most intense peaks (2θ from 10° to 80°), sorted by position:
- d = 5.355 Å, 16.6°, rel. 25
- d = 5.218 Å, 17.0°, rel. 57
- d = 3.286 Å, 27.1°, rel. 33
- d = 2.932 Å, 30.5°, rel. 44
- d = 2.897 Å, 30.9°, rel. 25
- d = 2.189 Å, 41.2°, rel. 100
- d = 2.150 Å, 42.0°, rel. 43
- d = 2.119 Å, 42.7°, rel. 30
- d = 1.699 Å, 54.0°, rel. 23
- d = 1.679 Å, 54.7°, rel. 31

Atomic structure:
a b c (Å): 5.798 3.399 12.905
angles (deg): 90.00 91.98 90.00
Fractional positions:
Nb1 0.000 0.000 0.000
Cr1 0.441 0.500 0.002
Cr2 0.521 0.500 0.498
Cr3 0.921 0.000 0.503
Ag1 0.461 0.500 0.740
Ag2 0.994 0.000 0.259
S1 0.127 0.500 0.877
S2 0.131 0.500 0.411
S3 0.310 0.000 0.589
S4 0.326 0.000 0.120
S5 0.613 0.000 0.899
S6 0.621 0.000 0.387
S7 0.793 0.500 0.108
S8 0.823 0.500 0.615

This entry pairs a crystal structure of TmPb3 with its calculated powder XRD pattern. Radiation: Cu Kα, 1.54184 Å. Structure: a PBE-relaxed structure.
Lines closer than 0.1° are merged.

The 10 most intense peaks (2θ from 10° to 80°), sorted by position:
- d = 4.250 Å, 20.9°, rel. 1
- d = 2.799 Å, 32.0°, rel. 100
- d = 2.716 Å, 33.0°, rel. 23
- d = 2.309 Å, 39.0°, rel. 30
- d = 1.759 Å, 52.0°, rel. 26
- d = 1.633 Å, 56.3°, rel. 10
- d = 1.583 Å, 58.3°, rel. 19
- d = 1.410 Å, 66.3°, rel. 26
- d = 1.399 Å, 66.9°, rel. 13
- d = 1.358 Å, 69.2°, rel. 3

Atomic structure:
a b c (Å): 4.618 4.618 10.862
angles (deg): 90.00 90.00 90.00
Fractional positions:
Tm1 0.000 0.000 0.000
Tm2 0.500 0.500 0.500
Pb1 0.000 0.000 0.500
Pb2 0.000 0.500 0.250
Pb3 0.000 0.500 0.750
Pb4 0.500 0.000 0.250
Pb5 0.500 0.000 0.750
Pb6 0.500 0.500 0.000

This entry pairs a crystal structure of CaTiFeCl with its calculated powder XRD pattern. Radiation: Cu Kα, 1.54184 Å. Structure: a PBE-relaxed structure.
Lines closer than 0.1° are merged.

The 10 most intense peaks (2θ from 10° to 80°), sorted by position:
- d = 7.457 Å, 11.9°, rel. 55
- d = 3.728 Å, 23.9°, rel. 32
- d = 2.706 Å, 33.1°, rel. 79
- d = 2.281 Å, 39.5°, rel. 96
- d = 2.190 Å, 41.2°, rel. 100
- d = 1.946 Å, 46.7°, rel. 18
- d = 1.778 Å, 51.4°, rel. 17
- d = 1.613 Å, 57.1°, rel. 29
- d = 1.386 Å, 67.6°, rel. 17
- d = 1.299 Å, 72.8°, rel. 31

Atomic structure:
a b c (Å): 3.226 3.226 14.914
angles (deg): 90.00 90.00 90.00
Fractional positions:
Ca1 0.000 0.000 0.000
Ca2 0.500 0.500 0.500
Ti1 0.000 0.000 0.789
Ti2 0.500 0.500 0.289
Fe1 0.000 0.000 0.357
Fe2 0.500 0.500 0.857
Cl1 0.000 0.000 0.617
Cl2 0.500 0.500 0.117

This entry pairs a crystal structure of VGa2CuSi with its calculated powder XRD pattern. Radiation: Cu Kα, 1.54184 Å. Structure: a PBE-relaxed structure.
Lines closer than 0.1° are merged.

The 10 most intense peaks (2θ from 10° to 80°), sorted by position:
- d = 4.741 Å, 18.7°, rel. 9
- d = 4.264 Å, 20.8°, rel. 5
- d = 2.635 Å, 34.0°, rel. 100
- d = 2.370 Å, 38.0°, rel. 57
- d = 2.132 Å, 42.4°, rel. 20
- d = 1.676 Å, 54.8°, rel. 19
- d = 1.585 Å, 58.2°, rel. 31
- d = 1.414 Å, 66.1°, rel. 26
- d = 1.318 Å, 71.6°, rel. 16
- d = 1.308 Å, 72.2°, rel. 10

Atomic structure:
a b c (Å): 4.741 4.741 4.264
angles (deg): 90.00 90.00 90.00
Fractional positions:
V1 0.000 0.000 0.000
Ga1 0.000 0.500 0.500
Ga2 0.500 0.000 0.500
Cu1 0.500 0.500 0.000
Si1 0.500 0.500 0.500

This entry pairs a crystal structure of Er3Sc2In2 with its calculated powder XRD pattern. Radiation: Cu Kα, 1.54184 Å. Structure: a PBE-relaxed structure.
Lines closer than 0.1° are merged.

The 10 most intense peaks (2θ from 10° to 80°), sorted by position:
- d = 4.208 Å, 21.1°, rel. 36
- d = 2.784 Å, 32.2°, rel. 21
- d = 2.715 Å, 33.0°, rel. 40
- d = 2.677 Å, 33.5°, rel. 100
- d = 2.572 Å, 34.9°, rel. 46
- d = 2.563 Å, 35.0°, rel. 31
- d = 2.421 Å, 37.1°, rel. 17
- d = 2.322 Å, 38.8°, rel. 25
- d = 2.061 Å, 43.9°, rel. 18
- d = 1.383 Å, 67.7°, rel. 25

Atomic structure:
a b c (Å): 5.144 3.231 11.270
angles (deg): 90.00 103.20 90.00
Fractional positions:
Er1 0.000 0.000 0.000
Er2 0.288 0.000 0.576
Er3 0.712 0.000 0.424
Sc1 0.137 0.000 0.274
Sc2 0.863 0.000 0.726
In1 0.423 0.500 0.847
In2 0.577 0.500 0.153

This entry pairs a crystal structure of PuAl4Ge2 with its calculated powder XRD pattern. Radiation: Cu Kα, 1.54184 Å. Structure: a PBE-relaxed structure.
Lines closer than 0.1° are merged.

The 10 most intense peaks (2θ from 10° to 80°), sorted by position:
- d = 7.965 Å, 11.1°, rel. 100
- d = 3.216 Å, 27.7°, rel. 23
- d = 2.843 Å, 31.5°, rel. 31
- d = 2.820 Å, 31.7°, rel. 71
- d = 2.521 Å, 35.6°, rel. 59
- d = 2.502 Å, 35.9°, rel. 30
- d = 2.222 Å, 40.6°, rel. 25
- d = 2.030 Å, 44.6°, rel. 16
- d = 2.021 Å, 44.8°, rel. 16
- d = 1.983 Å, 45.8°, rel. 18

Atomic structure:
a b c (Å): 4.042 15.930 4.061
angles (deg): 90.00 90.00 90.00
Fractional positions:
Pu1 0.000 0.000 0.000
Pu2 0.500 0.500 0.000
Al1 0.000 0.187 0.500
Al2 0.000 0.311 0.000
Al3 0.000 0.689 0.000
Al4 0.000 0.813 0.500
Al5 0.500 0.189 0.000
Al6 0.500 0.313 0.500
Al7 0.500 0.687 0.500
Al8 0.500 0.811 0.000
Ge1 0.000 0.421 0.500
Ge2 0.000 0.579 0.500
Ge3 0.500 0.079 0.500
Ge4 0.500 0.921 0.500

This entry pairs a crystal structure of CsKF4 with its calculated powder XRD pattern. Radiation: Cu Kα, 1.54184 Å. Structure: a PBE-relaxed structure.
Lines closer than 0.1° are merged.

The 10 most intense peaks (2θ from 10° to 80°), sorted by position:
- d = 6.113 Å, 14.5°, rel. 81
- d = 3.851 Å, 23.1°, rel. 100
- d = 3.803 Å, 23.4°, rel. 39
- d = 3.320 Å, 26.9°, rel. 24
- d = 3.228 Å, 27.6°, rel. 24
- d = 2.689 Å, 33.3°, rel. 20
- d = 2.625 Å, 34.2°, rel. 30
- d = 2.475 Å, 36.3°, rel. 26
- d = 2.232 Å, 40.4°, rel. 21
- d = 2.205 Å, 40.9°, rel. 21

Atomic structure:
a b c (Å): 7.621 7.621 7.344
angles (deg): 118.00 118.00 92.81
Fractional positions:
Cs1 0.137 0.863 0.750
Cs2 0.863 0.137 0.250
K1 0.455 0.545 0.250
K2 0.545 0.455 0.750
F1 0.211 0.509 0.414
F2 0.234 0.255 0.749
F3 0.255 0.234 0.249
F4 0.491 0.789 0.086
F5 0.509 0.211 0.914
F6 0.745 0.766 0.751
F7 0.766 0.745 0.251
F8 0.789 0.491 0.586

This entry pairs a crystal structure of Pr2InCuSe5 with its calculated powder XRD pattern. Radiation: Cu Kα, 1.54184 Å. Structure: a PBE-relaxed structure.
Lines closer than 0.1° are merged.

The 10 most intense peaks (2θ from 10° to 80°), sorted by position:
- d = 3.972 Å, 22.4°, rel. 17
- d = 2.910 Å, 30.7°, rel. 100
- d = 2.888 Å, 31.0°, rel. 42
- d = 2.746 Å, 32.6°, rel. 36
- d = 2.605 Å, 34.4°, rel. 20
- d = 2.451 Å, 36.7°, rel. 28
- d = 2.444 Å, 36.8°, rel. 19
- d = 2.139 Å, 42.2°, rel. 29
- d = 2.050 Å, 44.2°, rel. 42
- d = 2.043 Å, 44.3°, rel. 25

Atomic structure:
a b c (Å): 12.234 4.099 17.555
angles (deg): 90.00 90.00 90.00
Fractional positions:
Pr1 0.024 0.250 0.179
Pr2 0.136 0.750 0.596
Pr3 0.364 0.250 0.096
Pr4 0.476 0.750 0.679
Pr5 0.524 0.250 0.321
Pr6 0.636 0.750 0.904
Pr7 0.864 0.250 0.404
Pr8 0.976 0.750 0.821
In1 0.192 0.750 0.363
In2 0.308 0.250 0.863
In3 0.692 0.750 0.137
In4 0.808 0.250 0.637
Cu1 0.073 0.750 0.996
Cu2 0.427 0.250 0.496
Cu3 0.573 0.750 0.504
Cu4 0.927 0.250 0.004
Se1 0.014 0.250 0.694
Se2 0.099 0.250 0.920
Se3 0.106 0.250 0.465
Se4 0.182 0.750 0.111
Se5 0.241 0.750 0.771
Se6 0.259 0.250 0.271
Se7 0.318 0.250 0.611
Se8 0.394 0.750 0.965
Se9 0.401 0.750 0.420
Se10 0.486 0.750 0.194
Se11 0.514 0.250 0.806
Se12 0.599 0.250 0.580
Se13 0.606 0.250 0.035
Se14 0.682 0.750 0.389
Se15 0.741 0.750 0.729
Se16 0.759 0.250 0.229
Se17 0.818 0.250 0.889
Se18 0.894 0.750 0.535
Se19 0.901 0.750 0.080
Se20 0.986 0.750 0.306

This entry pairs a crystal structure of Mg2Si7Ni12 with its calculated powder XRD pattern. Radiation: Cu Kα, 1.54184 Å. Structure: a PBE-relaxed structure.
Lines closer than 0.1° are merged.

The 10 most intense peaks (2θ from 10° to 80°), sorted by position:
- d = 8.057 Å, 11.0°, rel. 16
- d = 4.652 Å, 19.1°, rel. 19
- d = 2.289 Å, 39.4°, rel. 100
- d = 2.124 Å, 42.6°, rel. 12
- d = 2.014 Å, 45.0°, rel. 11
- d = 1.879 Å, 48.4°, rel. 30
- d = 1.848 Å, 49.3°, rel. 19
- d = 1.758 Å, 52.0°, rel. 21
- d = 1.736 Å, 52.7°, rel. 19
- d = 1.235 Å, 77.2°, rel. 12

Atomic structure:
a b c (Å): 9.303 9.303 3.471
angles (deg): 90.00 90.00 120.00
Fractional positions:
Mg1 0.000 0.000 0.000
Mg2 0.333 0.667 0.500
Si1 0.073 0.453 0.000
Si2 0.257 0.219 0.500
Si3 0.380 0.927 0.000
Si4 0.547 0.620 0.000
Si5 0.667 0.333 0.000
Si6 0.781 0.038 0.500
Si7 0.962 0.743 0.500
Ni1 0.044 0.274 0.500
Ni2 0.108 0.711 0.000
Ni3 0.230 0.956 0.500
Ni4 0.289 0.397 0.000
Ni5 0.390 0.179 0.000
Ni6 0.540 0.429 0.500
Ni7 0.571 0.111 0.500
Ni8 0.603 0.892 0.000
Ni9 0.726 0.770 0.500
Ni10 0.789 0.610 0.000
Ni11 0.821 0.211 0.000
Ni12 0.889 0.460 0.500